Starting from a structure optimized by DFT (PBE+U), the powder X-ray diffraction pattern of OsWO5 was calculated for copper Kα.
Lines closer than 0.1° are merged.

Crystal structure
```
data_OsWO5
_symmetry_space_group_name_H-M 'C 1 2/c 1'
_symmetry_Int_Tables_number 15
_cell_length_a 8.308
_cell_length_b 6.297
_cell_length_c 7.018
_cell_angle_alpha 90.00
_cell_angle_beta 114.28
_cell_angle_gamma 90.00
loop_
_symmetry_equiv_pos_as_xyz
'x,y,z'
'-x,-y,-z'
'-x,y,-z+1/2'
'x,-y,z+1/2'
'x+1/2,y+1/2,z'
'-x+1/2,-y+1/2,-z'
'-x+1/2,y+1/2,-z+1/2'
'x+1/2,-y+1/2,z+1/2'
loop_
_atom_site_label
_atom_site_type_symbol
_atom_site_fract_x
_atom_site_fract_y
_atom_site_fract_z
_atom_site_occupancy
Os1 Os 0.000 0.000 0.000 1
W1 W 0.000 0.463 0.250 1
O1 O 0.000 0.140 0.250 1
O2 O 0.007 0.318 0.963 1
O3 O 0.249 0.025 0.628 1
```

Largest 8 diffraction maxima, low angle first, 2θ = 10–80°:
hkl 2 0 0, 23.5 deg, d 3.786, rel. 91
hkl 0 2 0, 28.3 deg, d 3.148, rel. 49
hkl 1 1 -2, 29.1 deg, d 3.065, rel. 100
hkl 2 2 0, 37.1 deg, d 2.421, rel. 32
hkl 1 1 2, 37.6 deg, d 2.395, rel. 35
hkl 3 1 -2, 38.0 deg, d 2.370, rel. 34
hkl 1 3 -2, 50.7 deg, d 1.801, rel. 24
hkl 4 2 0, 56.7 deg, d 1.623, rel. 27